No. 1
Structure and simulated powder XRD pattern of Li2Cu2P4O13 (a structure optimized by DFT (PBE); CuKα).
Kinematic intensities with the Lorentz-polarization factor, no thermal factor.

```
42
Lattice="4.777 0.000 0.000 0.000 8.538 0.000 -0.908 0.000 11.717" Properties=species:S:1:pos:R:3 pbc="T T T"
Li -0.293 0.512 4.499
Li -0.293 3.757 4.499
Li 4.162 4.781 7.218
Li 4.162 8.026 7.218
Cu 0.055 0.148 1.510
Cu 0.055 4.121 1.510
Cu 3.814 4.417 10.207
Cu 3.814 8.390 10.207
P 0.621 2.134 8.695
P 1.371 6.403 5.580
P 0.985 2.134 11.530
P 1.894 2.134 3.384
P 1.976 6.403 8.333
P 2.884 6.403 0.187
P 2.498 2.134 6.137
P 3.248 6.403 3.022
O -0.165 0.838 8.707
O -0.165 3.431 8.707
O 0.075 0.854 11.604
O 0.075 3.415 11.604
O 0.618 5.113 5.617
O 0.618 7.694 5.617
O 0.474 6.403 8.192
O 1.262 0.843 2.847
O 1.262 3.425 2.847
O 0.806 6.403 10.994
O 1.336 2.134 4.992
O 1.583 2.134 7.482
O 1.572 2.134 9.998
O 2.298 6.403 1.719
O 2.286 6.403 4.235
O 2.534 6.403 6.725
O 3.064 2.134 0.723
O 2.607 5.112 8.870
O 2.607 7.694 8.870
O 3.395 2.134 3.524
O 3.251 0.844 6.100
O 3.251 3.425 6.100
O 3.794 5.123 0.113
O 3.794 7.684 0.113
O 4.034 5.107 3.010
O 4.034 7.700 3.010
```

Most intense lines, 15° ≤ 2θ ≤ 90°, sorted by position:
| 2theta | d [Å] | I_rel |
| --- | --- | --- |
| 19.57 | 4.536 | 11.1 |
| 20.67 | 4.298 | 12.9 |
| 22.17 | 4.009 | 34.0 |
| 25.41 | 3.505 | 12.3 |
| 28.07 | 3.179 | 100.0 |
| 28.72 | 3.109 | 25.4 |
| 30.71 | 2.912 | 12.7 |
| 31.03 | 2.882 | 19.1 |
| 32.49 | 2.756 | 13.1 |
| 34.69 | 2.586 | 20.4 |
| 37.23 | 2.415 | 19.4 |
| 43.04 | 2.102 | 17.3 |

=====

No. 2
Structure and simulated powder XRD pattern of Li4Cu3SbP4O16 (a structure optimized by DFT (PBE); CuKα).
Kinematic intensities with the Lorentz-polarization factor, no thermal factor.

```
28
Lattice="4.850 0.000 0.000 0.000 6.415 0.000 -0.723 0.000 10.236" Properties=species:S:1:pos:R:3 pbc="T T T"
Li 0.000 1.558 0.000
Li 0.000 4.857 0.000
Li 2.535 1.621 4.330
Li 2.535 4.795 4.330
Cu 0.234 3.208 2.585
Cu 1.592 3.208 7.785
Cu 2.696 0.000 1.784
Sb 4.307 0.000 6.920
P 0.340 0.000 3.747
P 1.480 0.000 9.060
P 2.760 3.208 0.704
P 4.185 3.208 5.649
O 0.781 0.000 5.280
O 0.981 1.261 3.121
O 0.981 5.154 3.121
O 1.199 3.208 0.756
O 0.837 3.208 5.939
O 1.458 0.000 0.193
O 0.928 1.215 8.202
O 0.928 5.200 8.202
O 2.587 3.208 9.473
O 3.372 1.948 1.398
O 3.372 4.467 1.398
O 2.996 0.000 9.243
O 3.449 1.954 6.218
O 3.449 4.462 6.218
O 3.635 0.000 3.660
O 3.832 3.208 4.122
```

Most intense lines, 15° ≤ 2θ ≤ 90°, sorted by position:
| 2theta | d [Å] | I_rel |
| --- | --- | --- |
| 17.33 | 5.118 | 54.8 |
| 19.74 | 4.498 | 53.7 |
| 20.85 | 4.260 | 35.1 |
| 24.16 | 3.683 | 61.2 |
| 25.09 | 3.549 | 71.8 |
| 27.81 | 3.208 | 100.0 |
| 30.99 | 2.886 | 29.2 |
| 34.07 | 2.632 | 53.2 |
| 36.09 | 2.489 | 44.5 |
| 37.85 | 2.377 | 38.0 |
| 47.04 | 1.932 | 33.5 |
| 56.02 | 1.642 | 33.7 |

=====

No. 3
Structure and simulated powder XRD pattern of Li2CuSbP2O8 (a structure optimized by DFT (PBE); CuKα).
Kinematic intensities with the Lorentz-polarization factor, no thermal factor.

```
28
Lattice="4.832 0.000 0.000 0.000 7.006 0.000 -1.758 0.000 10.224" Properties=species:S:1:pos:R:3 pbc="T T T"
Li 0.000 0.000 0.000
Li 0.000 3.503 0.000
Li 1.537 0.000 5.112
Li 1.537 3.503 5.112
Cu -1.139 1.752 7.557
Cu 4.213 5.255 2.666
Sb 1.799 1.752 2.216
Sb 1.275 5.255 8.008
P -0.527 5.255 5.809
P 1.982 5.255 0.779
P 1.092 1.752 9.445
P 3.601 1.752 4.415
O 0.142 5.255 4.418
O 0.295 1.752 4.425
O -0.463 1.752 9.392
O 0.111 4.050 6.643
O 0.111 6.460 6.643
O -0.251 5.255 9.460
O 1.354 3.978 1.375
O 1.354 6.531 1.375
O 1.720 0.475 8.849
O 1.720 3.028 8.849
O 3.325 1.752 0.764
O 2.963 0.547 3.581
O 2.963 2.956 3.581
O 3.537 5.255 0.831
O 2.779 5.255 5.798
O 2.932 1.752 5.806
```

Most intense lines, 15° ≤ 2θ ≤ 90°, sorted by position:
| 2theta | d [Å] | I_rel |
| --- | --- | --- |
| 15.33 | 5.779 | 14.2 |
| 17.35 | 5.112 | 20.4 |
| 21.89 | 4.061 | 13.2 |
| 23.03 | 3.861 | 62.6 |
| 25.40 | 3.507 | 100.0 |
| 32.24 | 2.777 | 50.2 |
| 37.24 | 2.414 | 24.6 |
| 37.45 | 2.401 | 14.7 |
| 38.93 | 2.313 | 12.0 |
| 43.40 | 2.085 | 13.3 |
| 47.09 | 1.930 | 16.8 |
| 49.30 | 1.848 | 11.8 |

=====

No. 4
Structure and simulated powder XRD pattern of Li3PaCu4O12 (a structure optimized by DFT (PBE); CuKα).
Kinematic intensities with the Lorentz-polarization factor, no thermal factor.

```
20
Lattice="-3.671 3.671 3.671 3.671 -3.671 3.671 3.671 3.671 -3.671" Properties=species:S:1:pos:R:3 pbc="T T T"
Li 3.671 0.000 0.000
Li 0.000 3.671 0.000
Li 0.000 0.000 3.671
Pa 0.000 0.000 0.000
Cu 1.836 1.836 -1.836
Cu 1.836 -1.836 1.836
Cu -1.836 1.836 1.836
Cu 1.836 1.836 1.836
O 3.671 2.394 -1.583
O 2.089 0.000 1.277
O 5.254 0.000 1.277
O 1.277 2.089 0.000
O 2.394 -1.583 3.671
O 0.000 1.277 2.089
O 3.671 2.394 1.583
O 1.277 5.254 0.000
O 2.394 1.583 3.671
O -1.583 3.671 2.394
O 1.583 3.671 2.394
O 0.000 1.277 5.254
```

Most intense lines, 15° ≤ 2θ ≤ 90°, sorted by position:
| 2theta | d [Å] | I_rel |
| --- | --- | --- |
| 17.08 | 5.192 | 100.0 |
| 29.81 | 2.998 | 37.2 |
| 34.55 | 2.596 | 70.6 |
| 38.78 | 2.322 | 29.5 |
| 46.26 | 1.962 | 38.2 |
| 49.67 | 1.836 | 21.4 |
| 52.90 | 1.731 | 14.5 |
| 61.91 | 1.499 | 35.9 |
| 64.74 | 1.440 | 16.4 |
| 72.87 | 1.298 | 10.1 |
| 80.67 | 1.191 | 11.3 |
| 83.22 | 1.161 | 12.1 |

=====

No. 5
Structure and simulated powder XRD pattern of LiCuPbO2 (a structure optimized by DFT (PBE); CuKα).
Kinematic intensities with the Lorentz-polarization factor, no thermal factor.

```
10
Lattice="5.539 0.000 0.000 0.000 4.479 0.000 -1.456 0.000 5.607" Properties=species:S:1:pos:R:3 pbc="T T T"
Li -0.364 0.078 1.402
Li -1.092 4.401 4.205
Cu 0.000 2.239 0.000
Cu -0.728 2.239 2.803
Pb 1.678 0.985 4.205
Pb 2.406 3.493 1.402
O 1.184 0.822 0.229
O 0.456 3.657 3.033
O 3.627 0.822 2.574
O 2.899 3.657 5.377
```

Most intense lines, 15° ≤ 2θ ≤ 90°, sorted by position:
| 2theta | d [Å] | I_rel |
| --- | --- | --- |
| 16.53 | 5.361 | 53.8 |
| 25.45 | 3.499 | 100.0 |
| 25.92 | 3.437 | 26.6 |
| 28.18 | 3.166 | 62.5 |
| 32.10 | 2.789 | 64.5 |
| 32.68 | 2.740 | 78.8 |
| 33.43 | 2.681 | 42.0 |
| 38.99 | 2.310 | 42.8 |
| 39.86 | 2.262 | 28.5 |
| 43.81 | 2.066 | 44.7 |
| 45.75 | 1.983 | 23.1 |
| 52.29 | 1.750 | 22.1 |

=====

No. 6
Structure and simulated powder XRD pattern of Li3Cu2PtO6 (a structure optimized by DFT (PBE); CuKα).
Kinematic intensities with the Lorentz-polarization factor, no thermal factor.

```
12
Lattice="2.659 -4.481 0.000 2.659 4.481 0.000 -1.908 0.000 4.803" Properties=species:S:1:pos:R:3 pbc="T T T"
Li 0.000 0.000 0.000
Li 2.659 1.546 0.000
Li 2.659 -1.546 0.000
Cu 1.704 2.983 2.402
Cu 1.704 -2.983 2.402
Pt 1.704 0.000 2.402
O 0.914 1.486 1.259
O -0.049 0.000 3.456
O 0.914 -1.486 1.259
O 2.495 1.486 3.544
O 3.457 0.000 1.348
O 2.495 -1.486 3.544
```

Most intense lines, 15° ≤ 2θ ≤ 90°, sorted by position:
| 2theta | d [Å] | I_rel |
| --- | --- | --- |
| 18.47 | 4.803 | 100.0 |
| 20.52 | 4.327 | 22.5 |
| 22.78 | 3.903 | 17.1 |
| 34.13 | 2.627 | 20.7 |
| 35.10 | 2.556 | 36.2 |
| 36.39 | 2.469 | 14.9 |
| 36.53 | 2.460 | 20.9 |
| 41.67 | 2.168 | 26.2 |
| 43.15 | 2.097 | 40.9 |
| 46.68 | 1.946 | 15.4 |
| 60.78 | 1.524 | 13.6 |
| 62.26 | 1.491 | 12.4 |

=====

No. 7
Structure and simulated powder XRD pattern of LiPuCuO6 (a structure optimized by DFT (PBE); CuKα).
Kinematic intensities with the Lorentz-polarization factor, no thermal factor.

```
18
Lattice="4.844 0.000 0.000 0.000 4.844 0.000 0.000 0.000 8.908" Properties=species:S:1:pos:R:3 pbc="T T T"
Li 0.000 0.000 0.000
Li 2.422 2.422 4.454
Pu 0.000 0.000 3.016
Pu 2.422 2.422 7.470
Cu 0.000 0.000 6.037
Cu 2.422 2.422 1.583
O 0.871 0.871 4.561
O 0.902 0.902 1.614
O 0.943 0.943 7.395
O 1.479 3.365 2.941
O 1.520 3.324 6.068
O 1.551 3.293 0.107
O 3.293 1.551 0.107
O 3.324 1.520 6.068
O 3.365 1.479 2.941
O 3.901 3.901 7.395
O 3.942 3.942 1.614
O 3.973 3.973 4.561
```

Most intense lines, 15° ≤ 2θ ≤ 90°, sorted by position:
| 2theta | d [Å] | I_rel |
| --- | --- | --- |
| 19.93 | 4.454 | 30.0 |
| 20.87 | 4.256 | 100.0 |
| 26.01 | 3.425 | 75.4 |
| 32.99 | 2.715 | 33.7 |
| 35.46 | 2.532 | 47.1 |
| 37.12 | 2.422 | 16.4 |
| 42.48 | 2.128 | 16.6 |
| 42.97 | 2.105 | 31.2 |
| 52.27 | 1.750 | 47.2 |
| 53.50 | 1.713 | 12.3 |
| 60.43 | 1.532 | 11.0 |
| 65.84 | 1.419 | 15.3 |

=====

No. 8
Structure and simulated powder XRD pattern of Li2PuCu2O6 (a structure optimized by DFT (PBE); CuKα).
Kinematic intensities with the Lorentz-polarization factor, no thermal factor.

```
11
Lattice="5.230 0.000 0.000 -2.615 4.530 0.000 0.000 0.000 5.107" Properties=species:S:1:pos:R:3 pbc="T T T"
Li 0.000 3.020 0.000
Li 2.615 1.510 0.000
Pu 0.000 0.000 2.554
Cu 0.000 3.020 2.554
Cu 2.615 1.510 2.554
O -0.880 1.524 3.718
O -1.735 3.006 1.389
O 1.760 0.000 3.718
O 0.880 1.524 1.389
O 3.471 0.000 1.389
O 1.735 3.006 3.718
```

Most intense lines, 15° ≤ 2θ ≤ 90°, sorted by position:
| 2theta | d [Å] | I_rel |
| --- | --- | --- |
| 17.36 | 5.107 | 100.0 |
| 19.60 | 4.530 | 38.2 |
| 26.30 | 3.389 | 44.4 |
| 34.29 | 2.615 | 44.4 |
| 38.68 | 2.328 | 77.3 |
| 40.56 | 2.224 | 13.2 |
| 43.72 | 2.070 | 12.1 |
| 49.92 | 1.827 | 50.3 |
| 56.71 | 1.623 | 11.9 |
| 61.41 | 1.510 | 15.7 |
| 64.34 | 1.448 | 17.8 |
| 65.41 | 1.427 | 17.8 |